Structure and calculated X-ray powder pattern of MnFe2P2O18 (a cell relaxed with PBE+U; CuKα).

```
data_MnFe2P2O18
_chemical_formula_sum 'Mn1 Fe2 P2 O18'
_cell_length_a 5.316
_cell_length_b 7.095
_cell_length_c 10.076
_cell_angle_alpha 96.86
_cell_angle_beta 98.98
_cell_angle_gamma 109.47
_space_group_name_H-M_alt 'P -1'
_space_group_IT_number 2
loop_
_space_group_symop_operation_xyz
'x,y,z'
'-x,-y,-z'
loop_
_atom_site_label
_atom_site_type_symbol
_atom_site_fract_x
_atom_site_fract_y
_atom_site_fract_z
_atom_site_occupancy
Mn1 Mn 0.000 0.000 0.000 1
Fe1 Fe 0.500 0.000 0.500 1
Fe2 Fe 0.500 0.500 0.500 1
P1 P 0.026 0.095 0.323 1
O1 O 0.091 0.929 0.834 1
O2 O 0.119 0.471 0.782 1
O3 O 0.173 0.328 0.380 1
O4 O 0.218 0.995 0.614 1
O5 O 0.231 0.983 0.335 1
O6 O 0.260 0.284 0.017 1
O7 O 0.291 0.436 0.725 1
O8 O 0.389 0.710 0.475 1
O9 O 0.392 0.175 0.070 1
```

Most intense lines, 15° ≤ 2θ ≤ 90°, low angle first:
- 2θ 18.1, rel. 51
- 2θ 18.3, rel. 100
- 2θ 22.8, rel. 71
- 2θ 27.1, rel. 62
- 2θ 27.8, rel. 86
- 2θ 29.6, rel. 77